Diffraction record for NiSO9. The powder X-ray diffraction pattern is simulated, not measured: it uses DFT lattice parameters and positions (GGA+U) and Cu Kα X-rays.
Intensities are scaled so that the largest is 100.

Top 10 peaks for 2θ = 10–90°, in order of rising 2θ:
11.5 deg, rel. 100; 23.1 deg, rel. 40; 26.8 deg, rel. 16; 28.5 deg, rel. 10; 28.8 deg, rel. 15; 28.9 deg, rel. 22; 29.9 deg, rel. 20; 33.2 deg, rel. 12; 34.5 deg, rel. 23; 41.2 deg, rel. 10

Structure:
```
11
Lattice="4.427 0.000 0.000 -0.268 4.771 0.000 -0.661 -1.467 7.706" Properties=species:S:1:pos:R:3 pbc="T T T"
Ni 0.000 0.000 0.000
S 1.550 0.773 7.478
O 0.488 3.872 2.585
O 0.281 2.698 6.367
O 1.004 -0.471 3.714
O 0.716 1.319 6.201
O 1.254 1.528 0.644
O 2.790 3.384 0.500
O 2.544 -0.103 6.853
O 2.764 2.112 3.962
O 3.239 1.363 3.107
```